(1)
For EuB2Ir2, a structure optimized by DFT (GGA-PBE) gives the simulated powder X-ray diffraction pattern in this record (Cu Ka).
Lines closer than 0.1° are merged.

Structural model:
```
EuB2Ir2
1.0
0.000 4.697 5.366
3.032 0.000 5.366
3.032 4.697 0.000
Eu B Ir
2 4 4
Direct
0.125 0.125 0.125 Eu
0.875 0.875 0.875 Eu
0.198 0.552 0.198 B
0.448 0.802 0.448 B
0.552 0.198 0.552 B
0.802 0.448 0.802 B
0.245 0.245 0.505 Ir
0.495 0.495 0.755 Ir
0.505 0.505 0.245 Ir
0.755 0.755 0.495 Ir
```

The 6 most intense peaks (2θ = 15–90°), sorted by position:
| d_spacing | I (rel.) |
| --- | --- |
| 2.927 | 100 |
| 2.547 | 97 |
| 2.348 | 39 |
| 2.196 | 50 |
| 1.978 | 23 |
| 1.730 | 22 |


(2)
For BaTbO3, a structure optimized by DFT (GGA-PBE) gives the simulated powder X-ray diffraction pattern in this record (Cu Ka).
Lines closer than 0.1° are merged.

Structural model:
```
BaTbO3
1.0
-3.115 3.115 4.482
3.115 -3.115 4.482
3.115 3.115 -4.482
Ba Tb O
2 2 6
Direct
0.250 0.750 0.500 Ba
0.750 0.250 0.500 Ba
0.000 0.000 0.000 Tb
0.500 0.500 0.000 Tb
0.191 0.691 0.883 O
0.250 0.250 0.000 O
0.309 0.191 0.500 O
0.691 0.809 0.500 O
0.750 0.750 0.000 O
0.809 0.309 0.117 O
```

The 6 most intense peaks (2θ = 15–90°), sorted by position:
| d_spacing | I (rel.) |
| --- | --- |
| 3.142 | 100 |
| 3.115 | 54 |
| 2.202 | 27 |
| 1.819 | 23 |
| 1.803 | 46 |
| 1.571 | 18 |


(3)
For HfMg14Zr, a structure optimized by DFT (GGA-PBE) gives the simulated powder X-ray diffraction pattern in this record (Cu Ka).
Lines closer than 0.1° are merged.

Structural model:
```
HfMg14Zr
1.0
6.447 0.000 0.000
-3.223 5.583 0.000
0.000 0.000 10.054
Hf Mg Zr
1 14 1
Direct
0.000 0.000 0.000 Hf
0.002 0.501 0.000 Mg
0.003 0.501 0.500 Mg
0.164 0.329 0.250 Mg
0.164 0.329 0.750 Mg
0.164 0.836 0.250 Mg
0.164 0.836 0.750 Mg
0.499 0.501 0.000 Mg
0.499 0.501 0.500 Mg
0.499 0.997 0.500 Mg
0.499 0.998 0.000 Mg
0.667 0.333 0.250 Mg
0.667 0.333 0.750 Mg
0.671 0.836 0.250 Mg
0.671 0.836 0.750 Mg
0.000 0.000 0.500 Zr
```

The 6 most intense peaks (2θ = 15–90°), sorted by position:
| d_spacing | I (rel.) |
| --- | --- |
| 5.583 | 61 |
| 3.736 | 46 |
| 2.791 | 32 |
| 2.713 | 21 |
| 2.514 | 23 |
| 2.440 | 100 |


(4)
For Lu5Ge10Rh4, a structure optimized by DFT (GGA-PBE) gives the simulated powder X-ray diffraction pattern in this record (Cu Ka).
Lines closer than 0.1° are merged.

Structural model:
```
Lu5Ge10Rh4
1.0
13.032 0.000 0.000
0.000 13.032 0.000
0.000 0.000 4.213
Lu Ge Rh
10 20 8
Direct
0.000 0.000 0.000 Lu
0.113 0.387 0.500 Lu
0.175 0.675 0.500 Lu
0.325 0.175 0.500 Lu
0.387 0.887 0.500 Lu
0.500 0.500 0.000 Lu
0.613 0.113 0.500 Lu
0.675 0.825 0.500 Lu
0.825 0.325 0.500 Lu
0.887 0.613 0.500 Lu
0.008 0.845 0.500 Ge
0.066 0.566 0.000 Ge
0.155 0.008 0.500 Ge
0.162 0.200 0.000 Ge
0.200 0.838 0.000 Ge
0.300 0.338 0.000 Ge
0.338 0.700 0.000 Ge
0.345 0.508 0.500 Ge
0.434 0.066 0.000 Ge
0.492 0.345 0.500 Ge
0.508 0.655 0.500 Ge
0.566 0.934 0.000 Ge
0.655 0.492 0.500 Ge
0.662 0.300 0.000 Ge
0.700 0.662 0.000 Ge
0.800 0.162 0.000 Ge
0.838 0.800 0.000 Ge
0.845 0.992 0.500 Ge
0.934 0.434 0.000 Ge
0.992 0.155 0.500 Ge
0.021 0.753 0.000 Rh
0.247 0.021 0.000 Rh
0.253 0.521 0.000 Rh
0.479 0.253 0.000 Rh
0.521 0.747 0.000 Rh
0.747 0.479 0.000 Rh
0.753 0.979 0.000 Rh
0.979 0.247 0.000 Rh
```

The 6 most intense peaks (2θ = 15–90°), sorted by position:
| d_spacing | I (rel.) |
| --- | --- |
| 2.743 | 51 |
| 2.577 | 74 |
| 2.556 | 31 |
| 2.528 | 41 |
| 2.482 | 100 |
| 2.106 | 53 |